For DyZn2Co2Si, a structure optimized by DFT (GGA-PBE) gives the calculated powder diffraction line list in this record (Cu Ka).

Structure:
Cell: 4.2229 4.2229 5.5572 Å, 90.00 90.00 90.00°
Atoms (fractional coordinates):
1 Dy 0.0000 0.0000 0.0000
2 Zn 0.5000 0.5000 0.2335
3 Zn 0.5000 0.5000 0.7665
4 Co 0.0000 0.5000 0.5000
5 Co 0.5000 0.0000 0.5000
6 Si 0.0000 0.0000 0.5000

Peak list (12 most intense, 2θ = 10–90°, sorted by position)
d 3.362, 2θ = 26.51°, I 34, (1 0 1)
d 2.986, 2θ = 29.92°, I 40, (1 1 0)
d 2.630, 2θ = 34.09°, I 97, (1 1 1)
d 2.321, 2θ = 38.80°, I 100, (1 0 2)
d 2.111, 2θ = 42.83°, I 72, (2 0 0)
d 1.788, 2θ = 51.08°, I 12, (2 1 1)
d 1.574, 2θ = 58.65°, I 12, (1 1 3)
d 1.562, 2θ = 59.15°, I 57, (2 1 2)
d 1.493, 2θ = 62.17°, I 23, (2 2 0)
d 1.298, 2θ = 72.84°, I 20, (3 1 1)
d 1.256, 2θ = 75.75°, I 13, (3 0 2)
d 1.161, 2θ = 83.25°, I 18, (2 0 4)